Entry 1:
This entry pairs a crystal structure of Np2In8Hg with its simulated PXRD pattern. Radiation: λ = 1.5418 Å (Cu Kα). Structure: a structure optimized by DFT (PBE).
Kinematic intensities with the Lorentz-polarization factor, no thermal factor.

a = 4.7956 Å, b = 4.7956 Å, c = 12.3418 Å
α = 90.00°, β = 90.00°, γ = 90.00°
Fractional positions:
Np 0.0000 0.0000 0.1838
Np 0.0000 0.0000 0.8162
In 0.0000 0.5000 0.0000
In 0.0000 0.5000 0.3579
In 0.0000 0.5000 0.6421
In 0.5000 0.0000 0.0000
In 0.5000 0.0000 0.3579
In 0.5000 0.0000 0.6421
In 0.5000 0.5000 0.1807
In 0.5000 0.5000 0.8193
Hg 0.0000 0.0000 0.5000

Top 6 peaks for 2θ = 10–90°, by angle:
- 2θ = 18.50°, 4.796 Å, I = 17
- 2θ = 34.27°, 2.617 Å, I = 100
- 2θ = 37.51°, 2.398 Å, I = 43
- 2θ = 54.09°, 1.695 Å, I = 15
- 2θ = 59.18°, 1.561 Å, I = 15
- 2θ = 65.61°, 1.423 Å, I = 30


Entry 2:
This entry pairs a crystal structure of Tl2Sn13 with its simulated PXRD pattern. Radiation: λ = 1.5418 Å (Cu Kα). Structure: a structure optimized by DFT (PBE).
Kinematic intensities with the Lorentz-polarization factor, no thermal factor.

a = 9.6132 Å, b = 9.6132 Å, c = 9.6132 Å
α = 52.04°, β = 52.04°, γ = 52.04°
Fractional positions:
Tl 0.1430 0.1430 0.1430
Tl 0.8570 0.8570 0.8570
Sn 0.0000 0.0000 0.0000
Sn 0.1273 0.1273 0.5151
Sn 0.1273 0.5151 0.1273
Sn 0.2520 0.2520 0.6306
Sn 0.2520 0.6306 0.2520
Sn 0.3694 0.7480 0.7480
Sn 0.4849 0.8727 0.8727
Sn 0.5151 0.1273 0.1273
Sn 0.6306 0.2520 0.2520
Sn 0.7480 0.3694 0.7480
Sn 0.7480 0.7480 0.3694
Sn 0.8727 0.4849 0.8727
Sn 0.8727 0.8727 0.4849

Top 6 peaks for 2θ = 10–90°, by angle:
- 2θ = 12.63°, 7.008 Å, I = 31
- 2θ = 31.27°, 2.860 Å, I = 39
- 2θ = 32.63°, 2.744 Å, I = 100
- 2θ = 33.24°, 2.695 Å, I = 28
- 2θ = 35.25°, 2.546 Å, I = 70
- 2θ = 63.02°, 1.475 Å, I = 29


Entry 3:
This entry pairs a crystal structure of Pa2TcN6 with its simulated PXRD pattern. Radiation: λ = 1.5418 Å (Cu Kα). Structure: a structure optimized by DFT (PBE).
Kinematic intensities with the Lorentz-polarization factor, no thermal factor.

a = 5.4991 Å, b = 5.4991 Å, c = 3.9436 Å
α = 90.00°, β = 90.00°, γ = 120.00°
Fractional positions:
Pa 0.3333 0.6667 0.2583
Pa 0.6667 0.3333 0.7417
Tc 0.0000 0.0000 0.0000
N 0.0829 0.3502 0.7434
N 0.2673 0.9171 0.7434
N 0.3502 0.2673 0.2566
N 0.6498 0.7327 0.7434
N 0.7327 0.0829 0.2566
N 0.9171 0.6498 0.2566

Top 6 peaks for 2θ = 10–90°, by angle:
- 2θ = 29.41°, 3.037 Å, I = 100
- 2θ = 32.57°, 2.750 Å, I = 69
- 2θ = 44.44°, 2.038 Å, I = 44
- 2θ = 50.07°, 1.822 Å, I = 16
- 2θ = 56.17°, 1.637 Å, I = 37
- 2θ = 58.11°, 1.587 Å, I = 17


Entry 4:
This entry pairs a crystal structure of Cs4AsBr with its simulated PXRD pattern. Radiation: λ = 1.5418 Å (Cu Kα). Structure: a structure optimized by DFT (PBE).
Kinematic intensities with the Lorentz-polarization factor, no thermal factor.

a = 9.9382 Å, b = 9.9382 Å, c = 8.7318 Å
α = 109.87°, β = 109.87°, γ = 108.35°
Fractional positions:
Cs 0.0496 0.6909 0.9346
Cs 0.2620 0.3612 0.7623
Cs 0.3091 0.9504 0.5654
Cs 0.3612 0.2620 0.2623
Cs 0.6388 0.7380 0.7377
Cs 0.6909 0.0496 0.4346
Cs 0.7380 0.6388 0.2377
Cs 0.9504 0.3091 0.0654
As 0.3652 0.6348 0.2500
As 0.6348 0.3652 0.7500
Br 0.0191 0.9809 0.7500
Br 0.9809 0.0191 0.2500

Top 6 peaks for 2θ = 10–90°, by angle:
- 2θ = 23.91°, 3.721 Å, I = 73
- 2θ = 25.41°, 3.505 Å, I = 63
- 2θ = 26.81°, 3.325 Å, I = 65
- 2θ = 26.97°, 3.306 Å, I = 100
- 2θ = 27.43°, 3.252 Å, I = 73
- 2θ = 32.89°, 2.723 Å, I = 95


Entry 5:
This entry pairs a crystal structure of Er4GaRh2 with its simulated PXRD pattern. Radiation: λ = 1.5418 Å (Cu Kα). Structure: a structure optimized by DFT (PBE).
Kinematic intensities with the Lorentz-polarization factor, no thermal factor.

a = 4.8212 Å, b = 4.8212 Å, c = 6.9390 Å
α = 90.00°, β = 90.00°, γ = 90.00°
Fractional positions:
Er 0.0000 0.5000 0.2455
Er 0.0000 0.5000 0.7545
Er 0.5000 0.0000 0.2455
Er 0.5000 0.0000 0.7545
Ga 0.0000 0.0000 0.5000
Rh 0.0000 0.0000 0.0000
Rh 0.5000 0.5000 0.5000

Top 6 peaks for 2θ = 10–90°, by angle:
- 2θ = 26.14°, 3.409 Å, I = 19
- 2θ = 36.97°, 2.432 Å, I = 100
- 2θ = 37.30°, 2.411 Å, I = 49
- 2θ = 53.78°, 1.705 Å, I = 17
- 2θ = 66.39°, 1.408 Å, I = 18
- 2θ = 67.05°, 1.396 Å, I = 35


Entry 6:
This entry pairs a crystal structure of Zn2Ga3Ni7 with its simulated PXRD pattern. Radiation: λ = 1.5418 Å (Cu Kα). Structure: a structure optimized by DFT (PBE).
Kinematic intensities with the Lorentz-polarization factor, no thermal factor.

a = 4.2982 Å, b = 4.2982 Å, c = 8.6658 Å
α = 107.63°, β = 107.63°, γ = 76.87°
Fractional positions:
Zn 0.1679 0.1679 0.3356
Zn 0.8320 0.8320 0.6644
Ga 0.0000 0.0000 0.0000
Ga 0.3391 0.3391 0.6781
Ga 0.6609 0.6609 0.3219
Ni 0.0825 0.5821 0.1644
Ni 0.2499 0.7501 0.5000
Ni 0.4179 0.9175 0.8356
Ni 0.5000 0.5000 0.0000
Ni 0.5821 0.0825 0.1644
Ni 0.7501 0.2499 0.5000
Ni 0.9175 0.4179 0.8356

Top 6 peaks for 2θ = 10–90°, by angle:
- 2θ = 43.24°, 2.092 Å, I = 100
- 2θ = 43.36°, 2.087 Å, I = 33
- 2θ = 48.24°, 1.887 Å, I = 47
- 2θ = 54.51°, 1.683 Å, I = 16
- 2θ = 75.66°, 1.257 Å, I = 11
- 2θ = 86.46°, 1.126 Å, I = 16


Entry 7:
This entry pairs a crystal structure of Bi2RhSe2 with its simulated PXRD pattern. Radiation: λ = 1.5418 Å (Cu Kα). Structure: a structure optimized by DFT (PBE).
Kinematic intensities with the Lorentz-polarization factor, no thermal factor.

a = 4.4034 Å, b = 4.4034 Å, c = 13.2079 Å
α = 99.39°, β = 99.39°, γ = 90.05°
Fractional positions:
Bi 0.0574 0.3072 0.1128
Bi 0.3072 0.0574 0.6128
Bi 0.6928 0.9426 0.3872
Bi 0.9426 0.6928 0.8872
Rh 0.3754 0.6246 0.7500
Rh 0.6246 0.3754 0.2500
Se 0.1835 0.4349 0.3699
Se 0.4349 0.1835 0.8699
Se 0.5651 0.8165 0.1301
Se 0.8165 0.5651 0.6301

Top 6 peaks for 2θ = 10–90°, by angle:
- 2θ = 22.71°, 3.916 Å, I = 85
- 2θ = 27.77°, 3.213 Å, I = 41
- 2θ = 29.52°, 3.026 Å, I = 55
- 2θ = 35.62°, 2.521 Å, I = 100
- 2θ = 35.74°, 2.512 Å, I = 34
- 2θ = 40.99°, 2.202 Å, I = 67


Entry 8:
This entry pairs a crystal structure of LiB4O7 with its simulated PXRD pattern. Radiation: λ = 1.5418 Å (Cu Kα). Structure: a structure optimized by DFT (PBE).
Kinematic intensities with the Lorentz-polarization factor, no thermal factor.

a = 6.3667 Å, b = 6.3667 Å, c = 5.1578 Å
α = 90.00°, β = 90.00°, γ = 61.87°
Fractional positions:
Li 0.2316 0.7684 0.7500
Li 0.7684 0.2316 0.2500
B 0.0794 0.6900 0.2500
B 0.2978 0.2978 0.0000
B 0.2978 0.2978 0.5000
B 0.3100 0.9206 0.2500
B 0.6900 0.0794 0.7500
B 0.7022 0.7022 0.0000
B 0.7022 0.7022 0.5000
B 0.9206 0.3100 0.7500
O 0.0818 0.9182 0.2500
O 0.1906 0.5529 0.0204
O 0.1906 0.5529 0.4796
O 0.1936 0.2461 0.7500
O 0.2461 0.1936 0.2500
O 0.4471 0.8094 0.0204
O 0.4471 0.8094 0.4796
O 0.5529 0.1906 0.5204
O 0.5529 0.1906 0.9796
O 0.7539 0.8064 0.7500
O 0.8064 0.7539 0.2500
O 0.8094 0.4471 0.5204
O 0.8094 0.4471 0.9796
O 0.9182 0.0818 0.7500

Top 6 peaks for 2θ = 10–90°, by angle:
- 2θ = 16.23°, 5.461 Å, I = 73
- 2θ = 23.42°, 3.798 Å, I = 90
- 2θ = 31.88°, 2.807 Å, I = 57
- 2θ = 38.41°, 2.344 Å, I = 96
- 2θ = 43.15°, 2.097 Å, I = 100
- 2θ = 48.58°, 1.874 Å, I = 86


Entry 9:
This entry pairs a crystal structure of Tb2PmTm3S6 with its simulated PXRD pattern. Radiation: λ = 1.5418 Å (Cu Kα). Structure: a structure optimized by DFT (PBE).
Kinematic intensities with the Lorentz-polarization factor, no thermal factor.

a = 8.7365 Å, b = 8.7365 Å, c = 7.8631 Å
α = 103.68°, β = 103.68°, γ = 25.66°
Fractional positions:
Tb 0.1659 0.1659 0.3316
Tb 0.8341 0.8341 0.6684
Pm 0.5000 0.5000 0.0000
Tm 0.1653 0.1653 0.8337
Tm 0.5000 0.5000 0.5000
Tm 0.8347 0.8347 0.1663
S 0.0015 0.0015 0.7382
S 0.3287 0.3287 0.9202
S 0.3348 0.3348 0.4119
S 0.6652 0.6652 0.5881
S 0.6713 0.6713 0.0798
S 0.9985 0.9985 0.2618

Top 6 peaks for 2θ = 10–90°, by angle:
- 2θ = 27.72°, 3.219 Å, I = 21
- 2θ = 28.10°, 3.176 Å, I = 62
- 2θ = 32.45°, 2.759 Å, I = 100
- 2θ = 46.36°, 1.959 Å, I = 24
- 2θ = 46.79°, 1.942 Å, I = 35
- 2θ = 55.31°, 1.661 Å, I = 13


Entry 10:
This entry pairs a crystal structure of Zr9Ni2P4 with its simulated PXRD pattern. Radiation: λ = 1.5418 Å (Cu Kα). Structure: a structure optimized by DFT (PBE).
Kinematic intensities with the Lorentz-polarization factor, no thermal factor.

a = 12.0927 Å, b = 12.0927 Å, c = 3.6910 Å
α = 90.00°, β = 90.00°, γ = 90.00°
Fractional positions:
Zr 0.0000 0.0000 0.0000
Zr 0.0963 0.4037 0.0000
Zr 0.1030 0.1807 0.5000
Zr 0.1193 0.6193 0.5000
Zr 0.1807 0.8970 0.5000
Zr 0.3193 0.3970 0.5000
Zr 0.3807 0.1193 0.5000
Zr 0.3970 0.6807 0.5000
Zr 0.4037 0.9037 0.0000
Zr 0.5000 0.5000 0.0000
Zr 0.5963 0.0963 0.0000
Zr 0.6030 0.3193 0.5000
Zr 0.6193 0.8807 0.5000
Zr 0.6807 0.6030 0.5000
Zr 0.8193 0.1030 0.5000
Zr 0.8807 0.3807 0.5000
Zr 0.8970 0.8193 0.5000
Zr 0.9037 0.5963 0.0000
Ni 0.2457 0.7457 0.0000
Ni 0.2543 0.2457 0.0000
Ni 0.7457 0.7543 0.0000
Ni 0.7543 0.2543 0.0000
P 0.0560 0.7752 0.0000
P 0.2248 0.0560 0.0000
P 0.2752 0.5560 0.0000
P 0.4440 0.2752 0.0000
P 0.5560 0.7248 0.0000
P 0.7248 0.4440 0.0000
P 0.7752 0.9440 0.0000
P 0.9440 0.2248 0.0000

Top 6 peaks for 2θ = 10–90°, by angle:
- 2θ = 36.19°, 2.482 Å, I = 100
- 2θ = 37.94°, 2.372 Å, I = 28
- 2θ = 38.49°, 2.339 Å, I = 37
- 2θ = 42.28°, 2.138 Å, I = 18
- 2θ = 49.38°, 1.846 Å, I = 19
- 2θ = 61.19°, 1.515 Å, I = 24


Entry 11:
This entry pairs a crystal structure of Ag7SbTe6 with its simulated PXRD pattern. Radiation: λ = 1.5418 Å (Cu Kα). Structure: a structure optimized by DFT (PBE).
Kinematic intensities with the Lorentz-polarization factor, no thermal factor.

a = 8.7695 Å, b = 8.7695 Å, c = 8.7695 Å
α = 51.74°, β = 51.74°, γ = 51.74°
Fractional positions:
Ag 0.0000 0.0000 0.0000
Ag 0.1134 0.8091 0.4774
Ag 0.2178 0.5333 0.8463
Ag 0.4774 0.1134 0.8091
Ag 0.5333 0.8463 0.2178
Ag 0.8091 0.4774 0.1134
Ag 0.8463 0.2178 0.5333
Sb 0.6658 0.6658 0.6658
Te 0.0791 0.3961 0.7433
Te 0.2543 0.9311 0.5949
Te 0.3961 0.7433 0.0791
Te 0.5949 0.2543 0.9311
Te 0.7433 0.0791 0.3961
Te 0.9311 0.5949 0.2543

Top 6 peaks for 2θ = 10–90°, by angle:
- 2θ = 23.25°, 3.826 Å, I = 33
- 2θ = 26.09°, 3.415 Å, I = 61
- 2θ = 33.28°, 2.692 Å, I = 100
- 2θ = 40.85°, 2.209 Å, I = 88
- 2θ = 42.91°, 2.108 Å, I = 76
- 2θ = 60.74°, 1.525 Å, I = 25


Entry 12:
This entry pairs a crystal structure of La4TlGe2 with its simulated PXRD pattern. Radiation: λ = 1.5418 Å (Cu Kα). Structure: a structure optimized by DFT (PBE).
Kinematic intensities with the Lorentz-polarization factor, no thermal factor.

a = 8.5405 Å, b = 8.5405 Å, c = 9.8833 Å
α = 124.83°, β = 124.83°, γ = 71.08°
Fractional positions:
La 0.1991 0.7964 0.9258
La 0.2036 0.8009 0.5742
La 0.2731 0.3707 0.0737
La 0.3707 0.2731 0.5737
La 0.6293 0.7269 0.4263
La 0.7269 0.6293 0.9263
La 0.7964 0.1991 0.4258
La 0.8009 0.2036 0.0742
Tl 0.1246 0.8754 0.2500
Tl 0.8754 0.1246 0.7500
Ge 0.0000 0.5000 0.5000
Ge 0.5000 0.0000 0.0000
Ge 0.5000 0.5000 0.0000
Ge 0.5000 0.5000 0.5000

Top 6 peaks for 2θ = 10–90°, by angle:
- 2θ = 17.94°, 4.945 Å, I = 41
- 2θ = 28.45°, 3.137 Å, I = 100
- 2θ = 28.55°, 3.127 Å, I = 24
- 2θ = 33.73°, 2.657 Å, I = 49
- 2θ = 34.09°, 2.630 Å, I = 32
- 2θ = 36.33°, 2.473 Å, I = 24